This entry pairs a crystal structure of LaCrTeO6 with its theoretical X-ray diffraction stick pattern. Radiation: Cu Kα, 1.54184 Å. Structure: a cell relaxed with PBE+U.
Neutral-atom scattering factors, no anomalous dispersion.

Unit cell a=5.2418 b=5.2418 c=10.4470 alpha=90.00 beta=90.00 gamma=120.00
Positions (direct):
La1 0.0000 0.0000 0.0000
La2 0.0000 0.0000 0.5000
Cr1 0.3333 0.6667 0.2500
Cr2 0.6667 0.3333 0.7500
Te1 0.3333 0.6667 0.7500
Te2 0.6667 0.3333 0.2500
O1 0.0098 0.3745 0.8551
O2 0.0098 0.6353 0.6449
O3 0.3647 0.3745 0.6449
O4 0.3647 0.9902 0.8551
O5 0.3745 0.0098 0.3551
O6 0.3745 0.3647 0.1449
O7 0.6255 0.6353 0.8551
O8 0.6255 0.9902 0.6449
O9 0.6353 0.0098 0.1449
O10 0.6353 0.6255 0.3551
O11 0.9902 0.3647 0.3551
O12 0.9902 0.6255 0.1449

The 12 most intense peaks (5° ≤ 2θ ≤ 70°), by angle:
hkl  two_theta  intensity
0 0 2  16.97  4.5
1 0 1  21.34  12.0
1 0 2  26.00  100.0
1 1 0  34.21  33.0
0 0 4  34.34  7.8
2 -1 2  38.43  4.6
2 0 2  43.47  22.7
2 -1 4  49.25  40.5
3 -1 2  56.45  22.1
1 0 6  56.62  10.2
3 0 0  61.26  12.1
2 0 6  67.84  7.1